[1]
Theoretical XRD peak list of CrTcC2 for Cu Ka, from a GGA-PBE-relaxed structure.
Lines closer than 0.1° are merged.

Structure:
Lattice parameters (Å, degrees): 4.516 4.516 8.968 90.00 90.00 90.00
Space group I-42d (No. 122)
One atom of each set of equivalent atoms:
Cr 0.000 0.000 0.000 (multiplicity 4)
Tc 0.000 0.000 0.500 (multiplicity 4)
C 0.235 0.250 0.125 (multiplicity 8)

Main lines, in order of rising 2θ (2θ = 15–90°):
| hkl | 2theta | I (rel.) |
| --- | --- | --- |
| 1 0 1 | 22.04 | 13 |
| 1 1 2 | 34.48 | 100 |
| 2 0 0 | 39.93 | 24 |
| 2 2 0 | 57.74 | 13 |
| 2 0 4 | 57.97 | 25 |
| 3 1 2 | 69.02 | 24 |

---

[2]
Theoretical XRD peak list of SbMo for Cu Ka, from a GGA-PBE-relaxed structure.
Lines closer than 0.1° are merged.

Structure:
Lattice parameters (Å, degrees): 10.6156 10.6156 3.3006 90.00 90.00 120.00
Space group P6_3/m (No. 176)
One atom of each set of equivalent atoms:
Sb 0.0972 0.7489 0.2500 (multiplicity 6)
Mo 0.0834 0.4854 0.2500 (multiplicity 6)

Main lines, in order of rising 2θ (2θ = 15–90°):
| hkl | 2theta | I (rel.) |
| --- | --- | --- |
| 1 1 0 | 16.70 | 100 |
| 1 0 1 | 28.74 | 48 |
| 2 0 1 | 33.42 | 51 |
| 3 1 0 | 35.20 | 92 |
| 2 1 1 | 37.59 | 49 |
| 1 3 1 | 44.92 | 83 |

---

[3]
Theoretical XRD peak list of Er2Ga4Fe3 for Cu Ka, from a GGA-PBE-relaxed structure.
Lines closer than 0.1° are merged.

Structure:
Lattice parameters (Å, degrees): 5.165 9.057 12.771 90.00 90.00 90.00
Space group Fmmm (No. 69)
One atom of each set of equivalent atoms:
Er 0.000 0.000 0.126 (multiplicity 8)
Ga 0.000 0.171 0.339 (multiplicity 16)
Fe 0.000 0.000 0.500 (multiplicity 4)
Fe 0.250 0.250 0.000 (multiplicity 8)

Main lines, in order of rising 2θ (2θ = 15–90°):
| hkl | 2theta | I (rel.) |
| --- | --- | --- |
| 2 0 0 | 34.74 | 27 |
| 1 3 1 | 35.14 | 35 |
| 1 3 3 | 40.60 | 100 |
| 2 0 4 | 45.16 | 26 |
| 3 3 3 | 66.25 | 23 |
| 2 6 0 | 72.51 | 17 |

---

[4]
Theoretical XRD peak list of CaPaI2 for Cu Ka, from a GGA-PBE-relaxed structure.
Lines closer than 0.1° are merged.

Structure:
Lattice parameters (Å, degrees): 3.8725 3.8725 32.0303 90.00 90.00 120.00
Space group R-3m (No. 166, hexagonal axes)
One atom of each set of equivalent atoms:
Ca 0.0000 0.0000 0.0000 (multiplicity 3)
Pa 0.0000 0.0000 0.5000 (multiplicity 3)
I 0.0000 0.0000 0.4001 (multiplicity 6)

Main lines, in order of rising 2θ (2θ = 15–90°):
| hkl | 2theta | I (rel.) |
| --- | --- | --- |
| 0 0 9 | 25.02 | 39 |
| 1 0 1 | 26.73 | 100 |
| 0 1 2 | 27.17 | 77 |
| 0 1 8 | 34.90 | 40 |
| 1 0 10 | 38.88 | 67 |
| 1 1 0 | 46.93 | 39 |

---

[5]
Theoretical XRD peak list of CeThTlAu for Cu Ka, from a GGA-PBE-relaxed structure.
Lines closer than 0.1° are merged.

Structure:
Lattice parameters (Å, degrees): 3.473 3.473 8.921 90.00 90.00 90.00
Space group P4mm (No. 99)
One atom of each set of equivalent atoms:
Ce 0.000 0.000 0.000 (multiplicity 1)
Th 0.000 0.000 0.460 (multiplicity 1)
Tl 0.500 0.500 0.733 (multiplicity 1)
Au 0.500 0.500 0.229 (multiplicity 1)

Main lines, in order of rising 2θ (2θ = 15–90°):
| hkl | 2theta | I (rel.) |
| --- | --- | --- |
| 1 0 2 | 32.68 | 100 |
| 1 1 0 | 36.59 | 38 |
| 0 0 4 | 40.45 | 13 |
| 2 0 0 | 52.71 | 14 |
| 1 1 4 | 55.67 | 20 |
| 2 1 2 | 63.41 | 31 |

---

[6]
Theoretical XRD peak list of Ba2AlSnAu6 for Cu Ka, from a GGA-PBE-relaxed structure.
Lines closer than 0.1° are merged.

Structure:
Lattice parameters (Å, degrees): 12.720 6.316 8.541 90.00 129.01 90.00
Space group C2/m (No. 12)
One atom of each set of equivalent atoms:
Ba 0.243 0.000 0.193 (multiplicity 4)
Al 0.000 0.000 0.500 (multiplicity 2)
Sn 0.000 0.500 0.000 (multiplicity 2)
Au 0.027 0.252 0.293 (multiplicity 8)
Au 0.244 0.000 0.627 (multiplicity 4)

Main lines, in order of rising 2θ (2θ = 15–90°):
| hkl | 2theta | I (rel.) |
| --- | --- | --- |
| 0 0 2 | 26.87 | 31 |
| 3 1 -2 | 27.17 | 42 |
| 4 0 -2 | 28.37 | 42 |
| 2 2 0 | 33.68 | 100 |
| 2 2 -2 | 35.37 | 77 |
| 4 0 0 | 36.38 | 75 |